Entry 1:
Structure and computed XRD peak list of TbNd3Dy7 (DFT lattice parameters and positions (GGA-PBE); Cu Kα (λ = 1.5418 Å)).

Crystal structure
a = 5.861 Å, b = 11.186 Å, c = 11.252 Å
α = 90.00°, β = 90.00°, γ = 90.00°
Space group Immm (No. 71)
Symmetry-distinct sites (fractional):
Tb (0.000, 0.000, 0.000) x2
Nd (0.000, 0.000, 0.500) x2
Nd (0.000, 0.500, 0.213) x4
Dy (0.000, 0.206, 0.303) x8
Dy (0.000, 0.294, 0.000) x4
Dy (0.000, 0.500, 0.500) x2

Largest 12 diffraction maxima, by intensity, 2θ from 15° to 90°:
- 2θ = 32.6°, d 2.748, rel. 100, hkl 1 2 3
- 2θ = 30.5°, d 2.930, rel. 40, hkl 2 0 0
- 2θ = 55.5°, d 1.655, rel. 22, hkl 3 2 3
- 2θ = 32.0°, d 2.797, rel. 17, hkl 0 4 0
- 2θ = 31.8°, d 2.813, rel. 15, hkl 0 0 4
- 2θ = 44.8°, d 2.023, rel. 14, hkl 2 4 0
- 2θ = 44.7°, d 2.029, rel. 12, hkl 2 0 4
- 2θ = 39.9°, d 2.259, rel. 11, hkl 2 3 1
- 2θ = 25.2°, d 3.539, rel. 11, hkl 0 3 1
- 2θ = 62.5°, d 1.487, rel. 10, hkl 1 7 2
- 2θ = 28.2°, d 3.159, rel. 9, hkl 1 0 3
- 2θ = 62.1°, d 1.494, rel. 9, hkl 1 2 7

=====

Entry 2:
Structure and computed XRD peak list of Ti7Sn3O20 (DFT lattice parameters and positions (GGA-PBE); Cu Kα (λ = 1.5418 Å)).

Crystal structure
a = 6.654 Å, b = 6.654 Å, c = 15.278 Å
α = 90.00°, β = 90.00°, γ = 90.00°
Space group Cmmm (No. 65)
Symmetry-distinct sites (fractional):
Ti (0.000, 0.000, 0.000) x2
Ti (0.000, 0.000, 0.400) x4
Ti (0.000, 0.500, 0.097) x4
Ti (0.000, 0.500, 0.298) x4
Sn (0.000, 0.000, 0.200) x4
Sn (0.000, 0.500, 0.500) x2
O (0.000, 0.187, 0.500) x4
O (0.000, 0.199, 0.095) x8
O (0.000, 0.201, 0.304) x8
O (0.187, 0.500, 0.198) x8
O (0.194, 0.500, 0.000) x4
O (0.200, 0.500, 0.395) x8

Largest 12 diffraction maxima, by intensity, 2θ from 15° to 90°:
- 2θ = 26.8°, d 3.327, rel. 100, hkl 2 0 0
- 2θ = 52.8°, d 1.733, rel. 63, hkl 3 1 5
- 2θ = 35.0°, d 2.563, rel. 62, hkl 1 1 5
- 2θ = 67.1°, d 1.395, rel. 21, hkl 3 3 5
- 2θ = 22.2°, d 4.006, rel. 18, hkl 1 1 2
- 2θ = 55.2°, d 1.664, rel. 17, hkl 0 4 0
- 2θ = 38.3°, d 2.353, rel. 14, hkl 2 2 0
- 2θ = 67.5°, d 1.388, rel. 13, hkl 2 0 10
- 2θ = 62.4°, d 1.488, rel. 12, hkl 2 4 0
- 2θ = 40.1°, d 2.250, rel. 11, hkl 0 2 5
- 2θ = 79.9°, d 1.200, rel. 9, hkl 5 1 5
- 2θ = 86.5°, d 1.125, rel. 9, hkl 0 4 10

=====

Entry 3:
Structure and computed XRD peak list of Na7TlHg4 (DFT lattice parameters and positions (GGA-PBE); Cu Kα (λ = 1.5418 Å)).

Crystal structure
a = 5.3660 Å, b = 5.3660 Å, c = 13.4365 Å
α = 90.00°, β = 90.00°, γ = 120.00°
Space group P-3m1 (No. 164)
Symmetry-distinct sites (fractional):
Na (0.0000, 0.0000, 0.0000) x1
Na (0.0000, 0.0000, 0.2557) x2
Na (0.3333, 0.6667, 0.1067) x2
Na (0.3333, 0.6667, 0.4001) x2
Tl (0.0000, 0.0000, 0.5000) x1
Hg (0.3333, 0.6667, 0.6338) x2
Hg (0.3333, 0.6667, 0.8598) x2

Largest 12 diffraction maxima, by intensity, 2θ from 15° to 90°:
- 2θ = 20.2°, d 4.392, rel. 100, hkl 0 1 1
- 2θ = 33.4°, d 2.683, rel. 81, hkl 1 1 0
- 2θ = 32.9°, d 2.722, rel. 59, hkl 0 1 4
- 2θ = 38.7°, d 2.326, rel. 36, hkl 1 0 5
- 2θ = 59.4°, d 1.556, rel. 22, hkl 1 2 4
- 2θ = 47.6°, d 1.911, rel. 21, hkl 2 0 4
- 2θ = 27.7°, d 3.225, rel. 20, hkl 0 1 3
- 2θ = 43.2°, d 2.096, rel. 19, hkl 1 1 4
- 2θ = 39.4°, d 2.290, rel. 19, hkl 2 0 1
- 2θ = 52.5°, d 1.742, rel. 17, hkl 1 2 1
- 2θ = 63.2°, d 1.470, rel. 17, hkl 2 1 5
- 2θ = 52.0°, d 1.758, rel. 16, hkl 0 2 5

=====

Entry 4:
Structure and computed XRD peak list of PrAl2Au5 (DFT lattice parameters and positions (GGA-PBE); Cu Kα (λ = 1.5418 Å)).

Crystal structure
a = 4.152 Å, b = 7.245 Å, c = 10.739 Å
α = 90.00°, β = 90.00°, γ = 90.00°
Space group Immm (No. 71)
Symmetry-distinct sites (fractional):
Pr (0.000, 0.000, 0.000) x2
Al (0.000, 0.500, 0.241) x4
Au (0.000, 0.205, 0.361) x8
Au (0.000, 0.500, 0.000) x2

Largest 12 diffraction maxima, by intensity, 2θ from 15° to 90°:
- 2θ = 33.9°, d 2.645, rel. 100, hkl 1 2 1
- 2θ = 33.0°, d 2.711, rel. 92, hkl 1 0 3
- 2θ = 41.9°, d 2.156, rel. 58, hkl 0 2 4
- 2θ = 62.0°, d 1.496, rel. 31, hkl 2 2 4
- 2θ = 43.6°, d 2.076, rel. 29, hkl 2 0 0
- 2θ = 43.3°, d 2.088, rel. 21, hkl 1 3 0
- 2θ = 70.4°, d 1.337, rel. 20, hkl 1 2 7
- 2θ = 29.8°, d 3.003, rel. 19, hkl 0 2 2
- 2θ = 47.7°, d 1.908, rel. 13, hkl 1 0 5
- 2θ = 61.6°, d 1.506, rel. 12, hkl 1 4 3
- 2θ = 45.3°, d 2.002, rel. 12, hkl 0 3 3
- 2θ = 78.5°, d 1.219, rel. 11, hkl 1 5 4

=====

Entry 5:
Structure and computed XRD peak list of Tl3Cd4Hg8 (DFT lattice parameters and positions (GGA-PBE); Cu Kα (λ = 1.5418 Å)).

Crystal structure
a = 12.405 Å, b = 12.248 Å, c = 6.838 Å
α = 90.00°, β = 122.84°, γ = 90.00°
Space group C2/m (No. 12)
Symmetry-distinct sites (fractional):
Tl (0.000, 0.000, 0.000) x2
Tl (0.250, 0.250, 0.000) x4
Cd (0.000, 0.000, 0.500) x2
Cd (0.000, 0.500, 0.000) x2
Cd (0.250, 0.250, 0.500) x4
Hg (0.000, 0.256, 0.000) x4
Hg (0.000, 0.260, 0.500) x4
Hg (0.217, 0.500, 0.504) x4
Hg (0.239, 0.500, 0.001) x4

Largest 12 diffraction maxima, by intensity, 2θ from 15° to 90°:
- 2θ = 29.2°, d 3.062, rel. 100, hkl 0 4 0
- 2θ = 31.1°, d 2.872, rel. 86, hkl 0 0 2
- 2θ = 31.4°, d 2.845, rel. 74, hkl 4 0 -2
- 2θ = 43.2°, d 2.095, rel. 70, hkl 0 4 2
- 2θ = 43.4°, d 2.084, rel. 62, hkl 4 4 -2
- 2θ = 34.4°, d 2.606, rel. 60, hkl 4 0 0
- 2θ = 45.7°, d 1.984, rel. 53, hkl 4 4 0
- 2θ = 62.2°, d 1.492, rel. 21, hkl 4 4 -4
- 2θ = 67.5°, d 1.387, rel. 18, hkl 4 4 2
- 2θ = 69.6°, d 1.351, rel. 17, hkl 0 8 2
- 2θ = 53.6°, d 1.709, rel. 16, hkl 4 0 -4
- 2θ = 72.7°, d 1.300, rel. 15, hkl 0 4 4

=====

Entry 6:
Structure and computed XRD peak list of KRb2UBr8 (DFT lattice parameters and positions (GGA-PBE); Cu Kα (λ = 1.5418 Å)).

Crystal structure
a = 7.361 Å, b = 7.843 Å, c = 10.275 Å
α = 90.06°, β = 90.17°, γ = 92.78°
Space group P-1 (No. 2)
Symmetry-distinct sites (fractional):
K (0.000, 0.000, 0.000) x1
Rb (0.498, 0.497, 0.768) x2
U (0.000, 0.000, 0.500) x1
Br (0.144, 0.806, 0.314) x2
Br (0.148, 0.809, 0.687) x2
Br (0.302, 0.211, 0.498) x2
Br (0.314, 0.272, 0.002) x2

Largest 12 diffraction maxima, by intensity, 2θ from 15° to 90°:
- 2θ = 30.7°, d 2.908, rel. 100, hkl -1 2 2
- 2θ = 16.1°, d 5.496, rel. 96, hkl 1 -1 0
- 2θ = 23.7°, d 3.753, rel. 65, hkl 1 -1 2
- 2θ = 38.7°, d 2.327, rel. 59, hkl 1 -1 4
- 2θ = 16.9°, d 5.236, rel. 54, hkl 1 1 0
- 2θ = 31.6°, d 2.830, rel. 51, hkl 1 2 2
- 2θ = 40.8°, d 2.212, rel. 51, hkl 3 0 2
- 2θ = 20.7°, d 4.296, rel. 46, hkl 0 1 -2
- 2θ = 34.3°, d 2.618, rel. 46, hkl 2 2 0
- 2θ = 24.3°, d 3.667, rel. 45, hkl 1 1 2
- 2θ = 19.0°, d 4.665, rel. 28, hkl 1 1 -1
- 2θ = 27.3°, d 3.268, rel. 27, hkl 2 1 0